Record 1
Theoretical X-ray diffraction stick pattern
Compound: LaSbF6
Radiation: Cu Kα (λ = 1.5418 Å)
Structure: a crystal structure in Alexandria, relaxed with PBE
No peak broadening, texture or thermal motion is included.

Atomic structure:
```
LaSbF6
1.0
4.511 -3.573 0.000
4.511 3.573 0.000
-0.020 0.000 3.907
La Sb F
1 1 6
direct
0.000 0.000 0.000
0.526 0.526 0.615
0.231 0.590 0.953
0.305 0.917 0.519
0.590 0.231 0.953
0.674 0.674 0.987
0.859 0.859 0.489
0.917 0.305 0.519
```

Most intense lines, 2θ from 10° to 90°, low angle first:
2θ/deg  I_rel
19.7  1000
24.9  474
27.8  963
30.3  137
32.0  420
39.8  402
40.0  378
45.7  464
47.7  189
54.4  148
57.6  183
57.9  130

=====

Record 2
Theoretical X-ray diffraction stick pattern
Compound: LaEr3In3
Radiation: Cu Kα (λ = 1.5418 Å)
Structure: a crystal structure in Alexandria, relaxed with PBE
No peak broadening, texture or thermal motion is included.

Atomic structure:
```
LaEr3In3
1.0
9.351 0.000 0.000
0.000 9.351 0.000
0.000 0.000 9.351
La Er In
4 12 12
direct
0.047 0.453 0.547
0.453 0.547 0.047
0.547 0.047 0.453
0.953 0.953 0.953
0.121 0.621 0.879
0.168 0.168 0.168
0.201 0.799 0.299
0.299 0.201 0.799
0.332 0.832 0.668
0.379 0.379 0.379
0.621 0.879 0.121
0.668 0.332 0.832
0.701 0.701 0.701
0.799 0.299 0.201
0.832 0.668 0.332
0.879 0.121 0.621
0.005 0.805 0.597
0.097 0.495 0.195
0.195 0.097 0.495
0.305 0.903 0.995
0.403 0.505 0.695
0.495 0.195 0.097
0.505 0.695 0.403
0.597 0.005 0.805
0.695 0.403 0.505
0.805 0.597 0.005
0.903 0.995 0.305
0.995 0.305 0.903
```

Most intense lines, 2θ from 10° to 90°, low angle first:
2θ/deg  I_rel
23.3  137
27.0  148
30.2  1000
31.7  345
34.6  436
35.9  992
47.6  133
49.7  196
52.7  158
61.1  187
63.7  246
64.6  154

=====

Record 3
Theoretical X-ray diffraction stick pattern
Compound: Ac3YSe4
Radiation: Cu Kα (λ = 1.5418 Å)
Structure: a crystal structure in Alexandria, relaxed with PBE
No peak broadening, texture or thermal motion is included.

Atomic structure:
```
Ac3YSe4
1.0
7.680 0.000 0.000
0.000 8.671 0.000
-2.479 0.000 7.126
Ac Y Se
6 2 8
direct
0.000 0.124 0.250
0.000 0.374 0.750
0.000 0.626 0.250
0.000 0.876 0.750
0.500 0.127 0.750
0.500 0.873 0.250
0.500 0.375 0.250
0.500 0.625 0.750
0.262 0.135 0.011
0.262 0.865 0.511
0.269 0.385 0.500
0.269 0.615 0.000
0.731 0.385 0.000
0.731 0.615 0.500
0.738 0.135 0.489
0.738 0.865 0.989
```

Most intense lines, 2θ from 10° to 90°, low angle first:
2θ/deg  I_rel
24.5  82
25.0  231
28.8  1000
40.9  385
41.5  251
41.7  123
50.3  70
51.3  68
51.4  134
59.8  84
67.2  116
75.3  85

=====

Record 4
Theoretical X-ray diffraction stick pattern
Compound: FeNiPt14
Radiation: Cu Kα (λ = 1.5418 Å)
Structure: a crystal structure in Alexandria, relaxed with PBE
No peak broadening, texture or thermal motion is included.

Atomic structure:
```
FeNiPt14
1.0
9.202 0.000 0.000
0.000 2.779 4.806
0.000 -2.779 4.806
Fe Ni Pt
1 1 14
direct
0.000 0.000 0.000
0.000 0.501 0.501
0.000 0.004 0.503
0.000 0.503 0.004
0.238 0.332 0.832
0.238 0.832 0.332
0.244 0.835 0.835
0.246 0.335 0.335
0.500 0.166 0.166
0.500 0.166 0.666
0.500 0.665 0.665
0.500 0.666 0.166
0.754 0.335 0.335
0.756 0.835 0.835
0.762 0.332 0.832
0.762 0.832 0.332
```

Most intense lines, 2θ from 10° to 90°, low angle first:
2θ/deg  I_rel
37.4  128
38.7  344
39.2  338
42.4  1000
48.1  182
55.3  78
63.7  97
67.5  213
73.2  191
80.9  253
83.0  94
83.1  53

=====

Record 5
Theoretical X-ray diffraction stick pattern
Compound: Tm2BiO5
Radiation: Cu Kα (λ = 1.5418 Å)
Structure: a crystal structure in Alexandria, relaxed with PBE
No peak broadening, texture or thermal motion is included.

Atomic structure:
```
Tm2BiO5
1.0
9.539 0.000 0.000
0.000 7.637 0.000
-0.244 0.000 6.414
Tm Bi O
8 4 20
direct
0.015 0.122 0.236
0.015 0.378 0.736
0.316 0.149 0.916
0.316 0.351 0.416
0.684 0.649 0.584
0.684 0.851 0.084
0.985 0.622 0.264
0.985 0.878 0.764
0.327 0.610 0.968
0.327 0.890 0.468
0.673 0.110 0.532
0.673 0.390 0.032
0.093 0.122 0.890
0.093 0.378 0.390
0.096 0.638 0.957
0.096 0.862 0.457
0.257 0.101 0.247
0.257 0.399 0.747
0.331 0.632 0.318
0.331 0.868 0.818
0.434 0.146 0.606
0.434 0.354 0.106
0.566 0.646 0.894
0.566 0.854 0.394
0.669 0.132 0.182
0.669 0.368 0.682
0.743 0.601 0.253
0.743 0.899 0.753
0.904 0.138 0.543
0.904 0.362 0.043
0.907 0.622 0.610
0.907 0.878 0.110
```

Most intense lines, 2θ from 10° to 90°, low angle first:
2θ/deg  I_rel
28.1  398
29.0  1000
32.8  338
34.3  170
46.6  108
47.6  317
48.8  155
55.3  89
56.2  106
56.4  63
56.8  86
58.2  74

=====

Record 6
Theoretical X-ray diffraction stick pattern
Compound: SrTe3O8
Radiation: Cu Kα (λ = 1.5418 Å)
Structure: a crystal structure in Alexandria, relaxed with PBE
No peak broadening, texture or thermal motion is included.

Atomic structure:
```
SrTe3O8
1.0
6.962 0.000 0.000
0.000 6.962 0.000
0.000 0.000 6.856
Sr Te O
2 6 16
direct
0.000 0.000 0.250
0.000 0.000 0.750
0.000 0.500 0.000
0.215 0.566 0.500
0.434 0.215 0.000
0.500 0.000 0.500
0.566 0.785 0.000
0.785 0.434 0.500
0.046 0.322 0.500
0.117 0.243 0.000
0.188 0.588 0.194
0.188 0.588 0.806
0.243 0.883 0.500
0.322 0.954 0.000
0.412 0.188 0.306
0.412 0.188 0.694
0.588 0.812 0.306
0.588 0.812 0.694
0.678 0.046 0.000
0.757 0.117 0.500
0.812 0.412 0.194
0.812 0.412 0.806
0.883 0.757 0.000
0.954 0.678 0.500
```

Most intense lines, 2θ from 10° to 90°, low angle first:
2θ/deg  I_rel
18.0  267
22.2  214
25.6  199
26.0  327
28.7  1000
29.0  213
31.6  704
31.8  571
41.0  321
49.0  339
49.2  262
49.5  244

=====

Record 7
Theoretical X-ray diffraction stick pattern
Compound: K3Mg2
Radiation: Cu Kα (λ = 1.5418 Å)
Structure: a crystal structure in Alexandria, relaxed with PBE
No peak broadening, texture or thermal motion is included.

Atomic structure:
```
K3Mg2
1.0
6.164 0.000 0.000
-3.082 5.338 0.000
0.000 0.000 7.787
K Mg
3 2
direct
0.000 0.000 0.000
0.333 0.667 0.363
0.667 0.333 0.637
0.333 0.667 0.898
0.667 0.333 0.102
```

Most intense lines, 2θ from 10° to 90°, low angle first:
2θ/deg  I_rel
20.2  507
28.4  999
29.0  1000
35.6  105
41.0  339
45.7  135
49.9  130
51.0  338
51.4  174
60.0  104
67.7  132
82.6  99

=====

Record 8
Theoretical X-ray diffraction stick pattern
Compound: AgPb4Se5
Radiation: Cu Kα (λ = 1.5418 Å)
Structure: a crystal structure in Alexandria, relaxed with PBE
No peak broadening, texture or thermal motion is included.

Atomic structure:
```
AgPb4Se5
1.0
-2.155 2.155 15.129
2.155 -2.155 15.129
2.155 2.155 -15.129
Ag Pb Se
1 4 5
direct
0.000 0.000 0.000
0.197 0.197 0.000
0.404 0.404 0.000
0.596 0.596 0.000
0.803 0.803 0.000
0.095 0.095 0.000
0.300 0.300 0.000
0.500 0.500 0.000
0.700 0.700 0.000
0.905 0.905 0.000
```

Most intense lines, 2θ from 10° to 90°, low angle first:
2θ/deg  I_rel
25.4  437
29.3  1000
29.5  468
41.9  382
42.1  722
49.6  155
52.1  388
60.8  128
68.9  177
69.0  168
69.3  144
76.7  253